For PmGdCo4, a crystal structure in OQMD, relaxed with GGA-PBE gives the theoretical PXRD pattern in this record (Cu Kα).

Most intense lines, 2θ = 15–90°, by angle:
| 2θ (°) | Rel. int. |
| --- | --- |
| 35.09 | 63 |
| 41.40 | 100 |
| 43.33 | 16 |
| 62.95 | 23 |
| 67.26 | 30 |
| 74.16 | 22 |

Atomic structure:
Cell lengths 5.115, 5.115, 5.115 Å; angles 60.00, 60.00, 60.00 degrees
Element x y z (fractional)
Pm  0.000  0.000  0.000
Gd  0.250  0.250  0.250
Co  0.126  0.625  0.625
Co  0.625  0.126  0.625
Co  0.625  0.625  0.126
Co  0.625  0.625  0.625

=====

For Gd4CoS7, a crystal structure in OQMD, relaxed with GGA-PBE gives the theoretical PXRD pattern in this record (Cu Kα).

Most intense lines, 2θ = 15–90°, by angle:
| 2θ (°) | Rel. int. |
| --- | --- |
| 25.32 | 100 |
| 26.91 | 18 |
| 34.64 | 31 |
| 37.54 | 36 |
| 46.58 | 27 |
| 46.79 | 18 |

Atomic structure:
Cell lengths 9.580, 6.627, 9.584 Å; angles 90.00, 119.97, 90.00 degrees
Element x y z (fractional)
Gd  0.128  0.000  0.284
Gd  0.165  0.047  0.834
Gd  0.284  0.499  0.655
Gd  0.345  0.500  0.128
Gd  0.655  0.000  0.872
Gd  0.716  0.999  0.345
Gd  0.835  0.547  0.166
Gd  0.872  0.500  0.716
Co  0.500  0.147  0.500
Co  0.500  0.647  0.500
S  0.008  0.255  0.570
S  0.060  0.257  0.992
S  0.167  0.659  0.833
S  0.281  0.390  0.377
S  0.377  0.890  0.595
S  0.404  0.890  0.281
S  0.430  0.254  0.939
S  0.570  0.754  0.061
S  0.596  0.390  0.719
S  0.623  0.390  0.405
S  0.719  0.890  0.623
S  0.833  0.159  0.167
S  0.940  0.757  0.008
S  0.992  0.755  0.430

=====

For Sm2Gd2Zn3Co2, a crystal structure in OQMD, relaxed with GGA-PBE gives the theoretical PXRD pattern in this record (Cu Kα).

Most intense lines, 2θ = 15–90°, by angle:
| 2θ (°) | Rel. int. |
| --- | --- |
| 32.39 | 35 |
| 34.37 | 100 |
| 35.48 | 93 |
| 38.57 | 35 |
| 40.74 | 23 |
| 49.23 | 27 |

Atomic structure:
Cell lengths 7.030, 3.702, 7.697 Å; angles 90.00, 107.11, 90.00 degrees
Element x y z (fractional)
Sm  0.083  0.000  0.219
Sm  0.917  0.000  0.781
Gd  0.393  0.000  0.702
Gd  0.607  0.000  0.298
Zn  0.000  0.500  0.500
Zn  0.306  0.500  0.016
Zn  0.694  0.500  0.984
Co  0.347  0.500  0.393
Co  0.653  0.500  0.607

=====

For Gd3Co8Sn4, a crystal structure in OQMD, relaxed with GGA-PBE gives the theoretical PXRD pattern in this record (Cu Kα).

Most intense lines, 2θ = 15–90°, by angle:
| 2θ (°) | Rel. int. |
| --- | --- |
| 32.96 | 36 |
| 33.39 | 100 |
| 36.94 | 42 |
| 38.00 | 33 |
| 40.47 | 89 |
| 64.59 | 35 |

Atomic structure:
Cell lengths 8.915, 8.915, 7.464 Å; angles 90.00, 90.00, 120.00 degrees
Element x y z (fractional)
Gd  0.057  0.529  0.000
Gd  0.471  0.529  0.000
Gd  0.471  0.943  0.000
Gd  0.529  0.057  0.500
Gd  0.529  0.471  0.500
Gd  0.943  0.471  0.500
Co  0.000  0.000  0.280
Co  0.000  0.000  0.780
Co  0.097  0.194  0.025
Co  0.097  0.903  0.025
Co  0.158  0.317  0.332
Co  0.158  0.842  0.332
Co  0.194  0.097  0.525
Co  0.317  0.158  0.832
Co  0.333  0.667  0.704
Co  0.667  0.333  0.204
Co  0.683  0.842  0.332
Co  0.806  0.903  0.025
Co  0.842  0.158  0.832
Co  0.842  0.683  0.832
Co  0.903  0.097  0.525
Co  0.903  0.806  0.525
Sn  0.171  0.342  0.705
Sn  0.171  0.829  0.705
Sn  0.333  0.667  0.332
Sn  0.342  0.171  0.205
Sn  0.658  0.829  0.705
Sn  0.667  0.333  0.832
Sn  0.829  0.171  0.205
Sn  0.829  0.658  0.205